# 1
Structure and calculated X-ray diffraction stick pattern of MgZnCo4S8 (a structure optimized by DFT (GGA-PBE); Cu Kα).
Intensities are scaled so that the largest is 100.

Largest 8 diffraction maxima, sorted by position, 2θ = 5–70°:
2theta  I (rel.)  hkl
15.18  78  0 0 1
15.94  20  2 0 -1
36.68  100  2 2 -2
37.50  48  4 0 0
52.46  28  2 2 2
54.00  16  0 4 0
54.45  32  6 2 -2
67.60  15  4 4 0

Crystal structure
```
data_MgZnCo4S8
_chemical_formula_sum 'Mg2 Zn2 Co8 S16'
_cell_length_a 11.6478
_cell_length_b 6.7925
_cell_length_c 7.0852
_cell_angle_alpha 90.00
_cell_angle_beta 124.55
_cell_angle_gamma 90.00
_space_group_name_H-M_alt 'C 1 2/m 1'
_space_group_IT_number 12
_space_group_name_Hall '-C 2y'
loop_
_atom_site_label
_atom_site_type_symbol
_atom_site_fract_x
_atom_site_fract_y
_atom_site_fract_z
Mg1 Mg 0.0000 0.0000 0.0000
Zn1 Zn 0.0000 0.5000 0.0000
Co1 Co 0.0000 0.0000 0.5000
Co2 Co 0.0000 0.5000 0.5000
Co3 Co 0.2500 0.2500 0.5000
S1 S 0.0173 0.2505 0.3001
S2 S 0.2384 0.5000 0.7019
S3 S 0.2439 0.0000 0.7036
```



# 2
Structure and calculated X-ray diffraction stick pattern of Sr2Sb2Se3O2 (a structure optimized by DFT (GGA-PBE); Cu Kα).
Intensities are scaled so that the largest is 100.

Largest 8 diffraction maxima, sorted by position, 2θ = 5–70°:
2theta  I (rel.)  hkl
18.60  26  2 0 -2
27.73  77  3 0 -2
29.61  100  1 1 -3
32.46  48  0 1 3
35.36  83  2 1 1
44.65  30  0 2 0
46.06  25  4 1 -5
53.38  24  3 2 -2

Crystal structure
```
data_Sr2Sb2Se3O2
_chemical_formula_sum 'Sr4 Sb4 Se6 O4'
_cell_length_a 9.7002
_cell_length_b 4.0586
_cell_length_c 13.6168
_cell_angle_alpha 90.00
_cell_angle_beta 124.05
_cell_angle_gamma 90.00
_space_group_name_H-M_alt 'P 1 21/c 1'
_space_group_IT_number 14
_space_group_name_Hall '-P 2ybc'
loop_
_atom_site_label
_atom_site_type_symbol
_atom_site_fract_x
_atom_site_fract_y
_atom_site_fract_z
Sr1 Sr 0.1078 0.0142 0.3982
Sb1 Sb 0.3550 0.5121 0.3085
Se1 Se 0.2093 0.0072 0.1324
Se2 Se 0.5000 0.0000 0.5000
O1 O 0.1524 0.5116 0.3125
```



# 3
Structure and calculated X-ray diffraction stick pattern of Er3Ga9Pt2 (a structure optimized by DFT (GGA-PBE); Cu Kα).
Intensities are scaled so that the largest is 100.

Largest 8 diffraction maxima, sorted by position, 2θ = 5–70°:
2theta  I (rel.)  hkl
35.16  31  0 3 3
35.52  100  1 2 3
37.16  19  1 1 4
37.77  30  1 3 2
42.62  34  2 0 0
43.97  19  0 0 6
56.40  16  2 3 3
62.90  13  2 0 6

Crystal structure
```
data_Er3Ga9Pt2
_chemical_formula_sum 'Er6 Ga18 Pt4'
_cell_length_a 4.2425
_cell_length_b 9.7560
_cell_length_c 12.3567
_cell_angle_alpha 90.00
_cell_angle_beta 90.00
_cell_angle_gamma 90.00
_space_group_name_H-M_alt 'I m m m'
_space_group_IT_number 71
_space_group_name_Hall '-I 2 2'
loop_
_atom_site_label
_atom_site_type_symbol
_atom_site_fract_x
_atom_site_fract_y
_atom_site_fract_z
Er1 Er 0.0000 0.0000 0.0000
Er2 Er 0.0000 0.0000 0.3062
Ga1 Ga 0.0000 0.2834 0.1373
Ga2 Ga 0.0000 0.3701 0.3435
Ga3 Ga 0.0000 0.5000 0.0000
Pt1 Pt 0.0000 0.1929 0.5000
```



# 4
Structure and calculated X-ray diffraction stick pattern of NaBiSe2 (a structure optimized by DFT (GGA-PBE); Cu Kα).
Intensities are scaled so that the largest is 100.

Largest 8 diffraction maxima, sorted by position, 2θ = 5–70°:
2theta  I (rel.)  hkl
16.58  97  1 0 1
26.39  21  1 0 3
29.00  54  0 0 4
30.11  100  2 0 0
34.56  34  2 1 1
42.29  78  2 0 4
43.10  38  2 2 0
52.79  41  2 2 4

Crystal structure
```
data_NaBiSe2
_chemical_formula_sum 'Na4 Bi4 Se8'
_cell_length_a 5.9361
_cell_length_b 5.9361
_cell_length_c 12.3179
_cell_angle_alpha 90.00
_cell_angle_beta 90.00
_cell_angle_gamma 90.00
_space_group_name_H-M_alt 'I 41/a m d'
_space_group_IT_number 141
loop_
_space_group_symop_operation_xyz
'x,y,z'
'-x,-y,-z'
'-y+1/4,x+3/4,z+1/4'
'y+1/4,-x+3/4,-z+1/4'
'-x+1/2,-y,z+1/2'
'x+1/2,y,-z+1/2'
'y+1/4,-x+1/4,z+3/4'
'-y+1/4,x+1/4,-z+3/4'
'x,-y,-z'
'-x,y,z'
'-y+1/4,-x+1/4,-z+3/4'
'y+1/4,x+1/4,z+3/4'
'-x+1/2,y,-z+1/2'
'x+1/2,-y,z+1/2'
'y+1/4,x+3/4,-z+1/4'
'-y+1/4,-x+3/4,z+1/4'
'x+1/2,y+1/2,z+1/2'
'-x+1/2,-y+1/2,-z+1/2'
'-y+3/4,x+1/4,z+3/4'
'y+3/4,-x+1/4,-z+3/4'
'-x,-y+1/2,z'
'x,y+1/2,-z'
'y+3/4,-x+3/4,z+1/4'
'-y+3/4,x+3/4,-z+1/4'
'x+1/2,-y+1/2,-z+1/2'
'-x+1/2,y+1/2,z+1/2'
'-y+3/4,-x+3/4,-z+1/4'
'y+3/4,x+3/4,z+1/4'
'-x,y+1/2,-z'
'x,-y+1/2,z'
'y+3/4,x+1/4,-z+3/4'
'-y+3/4,-x+1/4,z+3/4'
loop_
_atom_site_label
_atom_site_type_symbol
_atom_site_fract_x
_atom_site_fract_y
_atom_site_fract_z
Na1 Na 0.0000 0.2500 0.3750
Bi1 Bi 0.0000 0.2500 0.8750
Se1 Se 0.0000 0.2500 0.1151
```



# 5
Structure and calculated X-ray diffraction stick pattern of PrB2Rh3 (a structure optimized by DFT (GGA-PBE); Cu Kα).
Intensities are scaled so that the largest is 100.

Largest 8 diffraction maxima, sorted by position, 2θ = 5–70°:
2theta  I (rel.)  hkl
34.30  72  1 0 1
37.50  100  2 0 0
43.71  44  1 1 1
47.84  16  2 0 1
58.92  30  2 1 1
59.27  9  0 0 2
65.62  13  3 0 1
67.66  19  2 2 0

Crystal structure
```
data_PrB2Rh3
_chemical_formula_sum 'Pr1 B2 Rh3'
_cell_length_a 5.5390
_cell_length_b 5.5390
_cell_length_c 3.1184
_cell_angle_alpha 90.00
_cell_angle_beta 90.00
_cell_angle_gamma 120.00
_space_group_name_H-M_alt 'P 6/m m m'
_space_group_IT_number 191
_space_group_name_Hall '-P 6 2'
loop_
_atom_site_label
_atom_site_type_symbol
_atom_site_fract_x
_atom_site_fract_y
_atom_site_fract_z
Pr1 Pr 0.0000 0.0000 0.0000
B1 B 0.3333 0.6667 0.0000
Rh1 Rh 0.0000 0.5000 0.5000
```



# 6
Structure and calculated X-ray diffraction stick pattern of TmFe4B (a structure optimized by DFT (GGA-PBE); Cu Kα).
Intensities are scaled so that the largest is 100.

Largest 8 diffraction maxima, sorted by position, 2θ = 5–70°:
2theta  I (rel.)  hkl
20.38  23  1 0 0
32.75  99  1 0 2
35.69  35  1 1 0
41.45  71  2 0 0
44.29  100  1 1 2
62.27  31  2 1 2
64.75  15  1 1 4
68.65  19  2 0 4

Crystal structure
```
data_TmFe4B
_chemical_formula_sum 'Tm2 Fe8 B2'
_cell_length_a 5.0308
_cell_length_b 5.0308
_cell_length_c 7.0239
_cell_angle_alpha 90.00
_cell_angle_beta 90.00
_cell_angle_gamma 120.00
_space_group_name_H-M_alt 'P 6/m m m'
_space_group_IT_number 191
_space_group_name_Hall '-P 6 2'
loop_
_atom_site_label
_atom_site_type_symbol
_atom_site_fract_x
_atom_site_fract_y
_atom_site_fract_z
Tm1 Tm 0.0000 0.0000 0.0000
Tm2 Tm 0.0000 0.0000 0.5000
Fe1 Fe 0.0000 0.5000 0.2139
Fe2 Fe 0.3333 0.6667 0.5000
B1 B 0.3333 0.6667 0.0000
```



# 7
Structure and calculated X-ray diffraction stick pattern of ReSi (a structure optimized by DFT (GGA-PBE); Cu Kα).
Intensities are scaled so that the largest is 100.

Largest 8 diffraction maxima, sorted by position, 2θ = 5–70°:
2theta  I (rel.)  hkl
26.23  57  1 1 0
32.27  27  1 1 1
37.43  2  2 0 0
42.05  100  2 1 0
46.28  44  2 1 1
60.97  12  3 0 1
64.29  14  3 1 1
67.53  11  2 2 2

Crystal structure
```
data_ReSi
_chemical_formula_sum 'Re4 Si4'
_cell_length_a 4.8052
_cell_length_b 4.8052
_cell_length_c 4.8052
_cell_angle_alpha 90.00
_cell_angle_beta 90.00
_cell_angle_gamma 90.00
_space_group_name_H-M_alt 'P 21 3'
_space_group_IT_number 198
_space_group_name_Hall 'P 2ac 2ab 3'
loop_
_atom_site_label
_atom_site_type_symbol
_atom_site_fract_x
_atom_site_fract_y
_atom_site_fract_z
Re1 Re 0.1341 0.1341 0.1341
Si1 Si 0.1557 0.3443 0.6557
```



# 8
Structure and calculated X-ray diffraction stick pattern of Cs2ScHgI6 (a structure optimized by DFT (GGA-PBE); Cu Kα).
Intensities are scaled so that the largest is 100.

Largest 8 diffraction maxima, sorted by position, 2θ = 5–70°:
2theta  I (rel.)  hkl
14.41  20  2 0 0
20.44  21  2 2 0
25.10  72  2 2 2
29.06  100  4 0 0
41.56  73  4 4 0
49.17  31  6 2 2
51.51  25  4 4 4
68.25  31  8 4 0

Crystal structure
```
data_Cs2ScHgI6
_chemical_formula_sum 'Cs8 Sc4 Hg4 I24'
_cell_length_a 12.2908
_cell_length_b 12.2908
_cell_length_c 12.2908
_cell_angle_alpha 90.00
_cell_angle_beta 90.00
_cell_angle_gamma 90.00
_space_group_name_H-M_alt 'F m -3 m'
_space_group_IT_number 225
_space_group_name_Hall '-F 4 2 3'
loop_
_atom_site_label
_atom_site_type_symbol
_atom_site_fract_x
_atom_site_fract_y
_atom_site_fract_z
Cs1 Cs 0.2500 0.2500 0.2500
Sc1 Sc 0.0000 0.0000 0.0000
Hg1 Hg 0.0000 0.0000 0.5000
I1 I 0.0000 0.0000 0.2366
```



# 9
Structure and calculated X-ray diffraction stick pattern of V2N (a structure optimized by DFT (GGA-PBE); Cu Kα).
Intensities are scaled so that the largest is 100.

Largest 8 diffraction maxima, sorted by position, 2θ = 5–70°:
2theta  I (rel.)  hkl
28.77  4  1 0 1
36.64  13  1 1 0
39.68  20  0 0 2
41.85  100  1 1 1
47.23  1  2 0 1
55.10  21  2 -1 2
61.22  1  0 0 3
65.96  18  3 0 0

Crystal structure
```
data_V2N
_chemical_formula_sum 'V6 N3'
_cell_length_a 4.9059
_cell_length_b 4.9059
_cell_length_c 4.5433
_cell_angle_alpha 90.00
_cell_angle_beta 90.00
_cell_angle_gamma 120.00
_space_group_name_H-M_alt 'P -3 1 m'
_space_group_IT_number 162
_space_group_name_Hall '-P 3 2'
loop_
_atom_site_label
_atom_site_type_symbol
_atom_site_fract_x
_atom_site_fract_y
_atom_site_fract_z
V1 V 0.0000 0.3363 0.2463
N1 N 0.0000 0.0000 0.0000
N2 N 0.3333 0.6667 0.5000
```



# 10
Structure and calculated X-ray diffraction stick pattern of NaCaTaP2SO12 (a structure optimized by DFT (GGA-PBE); Cu Kα).
Intensities are scaled so that the largest is 100.

Largest 8 diffraction maxima, sorted by position, 2θ = 5–70°:
2theta  I (rel.)  hkl
13.67  45  2 0 0
13.79  98  1 1 -1
19.16  61  1 1 1
19.76  100  0 2 0
23.00  49  0 2 1
27.77  39  2 2 -2
30.53  39  3 1 1
34.57  44  6 0 -2

Crystal structure
```
data_NaCaTaP2SO12
_chemical_formula_sum 'Na4 Ca4 Ta4 P8 S4 O48'
_cell_length_a 15.5726
_cell_length_b 8.9831
_cell_length_c 9.1987
_cell_angle_alpha 90.00
_cell_angle_beta 123.67
_cell_angle_gamma 90.00
_space_group_name_H-M_alt 'C 1 c 1'
_space_group_IT_number 9
_space_group_name_Hall 'C -2yc'
loop_
_atom_site_label
_atom_site_type_symbol
_atom_site_fract_x
_atom_site_fract_y
_atom_site_fract_z
Na1 Na 0.0000 0.2304 0.0000
Ca1 Ca 0.3577 0.2553 0.0857
Ta1 Ta 0.1476 0.2519 0.4613
P1 P 0.1137 0.0931 0.7783
P2 P 0.2476 0.4561 0.2753
S1 S 0.4026 0.1162 0.7697
O1 O 0.0163 0.1507 0.7567
O2 O 0.1145 0.0852 0.2915
O3 O 0.1165 0.1335 0.6077
O4 O 0.1643 0.3679 0.2927
O5 O 0.1820 0.4320 0.6080
O6 O 0.2095 0.1482 0.9374
O7 O 0.3051 0.1829 0.6113
O8 O 0.3095 0.3414 0.2521
O9 O 0.3136 0.4526 0.9339
O10 O 0.4074 0.1398 0.9286
O11 O 0.4147 0.0396 0.2450
O12 O 0.4924 0.2014 0.7820
```



# 11
Structure and calculated X-ray diffraction stick pattern of PaAlRu2 (a structure optimized by DFT (GGA-PBE); Cu Kα).
Intensities are scaled so that the largest is 100.

Largest 7 diffraction maxima, sorted by position, 2θ = 5–70°:
2theta  I (rel.)  hkl
23.57  45  1 1 1
27.28  1  2 0 0
38.96  100  2 2 0
46.04  24  3 1 1
56.28  17  4 0 0
61.85  10  3 3 1
63.65  1  4 2 0

Crystal structure
```
data_PaAlRu2
_chemical_formula_sum 'Pa4 Al4 Ru8'
_cell_length_a 6.5384
_cell_length_b 6.5384
_cell_length_c 6.5384
_cell_angle_alpha 90.00
_cell_angle_beta 90.00
_cell_angle_gamma 90.00
_space_group_name_H-M_alt 'F m -3 m'
_space_group_IT_number 225
_space_group_name_Hall '-F 4 2 3'
loop_
_atom_site_label
_atom_site_type_symbol
_atom_site_fract_x
_atom_site_fract_y
_atom_site_fract_z
Pa1 Pa 0.0000 0.0000 0.0000
Al1 Al 0.0000 0.0000 0.5000
Ru1 Ru 0.2500 0.2500 0.2500
```



Q: What is the formula in the third record?
A: Er3Ga9Pt2